[1]
Structure and computed powder diffraction line list of SiH8C4F3 (the GGA-PBE geometry in the Materials Project; Cu Kα).

Most intense lines, 5° ≤ 2θ ≤ 70°, sorted by position:
- 13.2 deg, intensity 25
- 15.8 deg, intensity 100
- 17.3 deg, intensity 31
- 18.6 deg, intensity 18
- 26.5 deg, intensity 8
- 27.9 deg, intensity 13
- 28.3 deg, intensity 11
- 31.0 deg, intensity 14
- 33.5 deg, intensity 10
- 44.7 deg, intensity 8

Lattice parameters (Å, degrees): 6.878 10.272 6.894 90.00 102.83 90.00
Sites, in units of the cell vectors:
Si (0.198, 0.000, 0.279)
Si (0.802, 0.500, 0.721)
H (0.104, 0.514, 0.018)
H (0.170, 0.422, 0.811)
H (0.253, 0.240, 0.269)
H (0.254, 0.762, 0.269)
H (0.333, 0.158, 0.073)
H (0.334, 0.844, 0.074)
H (0.484, 0.153, 0.318)
H (0.487, 0.848, 0.320)
H (0.513, 0.348, 0.680)
H (0.516, 0.653, 0.682)
H (0.666, 0.344, 0.926)
H (0.667, 0.658, 0.927)
H (0.746, 0.262, 0.731)
H (0.747, 0.740, 0.731)
H (0.830, 0.922, 0.189)
H (0.896, 0.014, 0.982)
C (0.061, 0.483, 0.861)
C (0.199, 0.001, 0.562)
C (0.329, 0.152, 0.232)
C (0.333, 0.849, 0.233)
C (0.667, 0.349, 0.767)
C (0.671, 0.652, 0.768)
C (0.801, 0.501, 0.438)
C (0.939, 0.983, 0.139)
F (0.105, 0.893, 0.622)
F (0.106, 0.108, 0.623)
F (0.390, 0.001, 0.680)
F (0.610, 0.501, 0.320)
F (0.894, 0.608, 0.377)
F (0.895, 0.393, 0.378)



[2]
Structure and computed powder diffraction line list of HgC4F6 (the GGA-PBE geometry in the Materials Project; Cu Kα).

Most intense lines, 5° ≤ 2θ ≤ 70°, sorted by position:
- 15.1 deg, intensity 100
- 16.9 deg, intensity 69
- 17.9 deg, intensity 46
- 20.0 deg, intensity 68
- 20.4 deg, intensity 69
- 24.1 deg, intensity 34
- 26.7 deg, intensity 91
- 30.0 deg, intensity 65
- 33.5 deg, intensity 38
- 41.5 deg, intensity 55

Lattice parameters (Å, degrees): 5.130 5.925 6.693 104.50 109.01 106.47
Sites, in units of the cell vectors:
Hg (0.000, 0.000, 0.000)
C (0.194, 0.324, 0.739)
C (0.210, 0.133, 0.808)
C (0.790, 0.867, 0.192)
C (0.806, 0.676, 0.261)
F (0.031, 0.454, 0.782)
F (0.330, 0.409, 0.617)
F (0.385, 0.016, 0.745)
F (0.615, 0.984, 0.255)
F (0.670, 0.591, 0.383)
F (0.969, 0.546, 0.218)



[3]
Structure and computed powder diffraction line list of HgC2O2F3 (the GGA-PBE geometry in the Materials Project; Cu Kα).

Most intense lines, 5° ≤ 2θ ≤ 70°, sorted by position:
- 11.6 deg, intensity 34
- 13.8 deg, intensity 97
- 20.8 deg, intensity 26
- 22.4 deg, intensity 100
- 25.5 deg, intensity 25
- 28.6 deg, intensity 24
- 35.1 deg, intensity 23
- 35.7 deg, intensity 30
- 42.4 deg, intensity 20
- 45.8 deg, intensity 25

Lattice parameters (Å, degrees): 8.941 8.941 8.531 117.57 117.57 65.44
Sites, in units of the cell vectors:
Hg (0.057, 0.747, 0.608)
Hg (0.253, 0.943, 0.892)
Hg (0.747, 0.057, 0.108)
Hg (0.943, 0.253, 0.392)
C (0.143, 0.362, 0.786)
C (0.238, 0.472, 0.988)
C (0.362, 0.143, 0.286)
C (0.472, 0.238, 0.488)
C (0.528, 0.762, 0.512)
C (0.638, 0.857, 0.714)
C (0.762, 0.528, 0.012)
C (0.857, 0.638, 0.214)
O (0.075, 0.436, 0.662)
O (0.143, 0.214, 0.761)
O (0.214, 0.143, 0.261)
O (0.436, 0.075, 0.162)
O (0.564, 0.925, 0.838)
O (0.786, 0.857, 0.739)
O (0.857, 0.786, 0.239)
O (0.925, 0.564, 0.338)
F (0.197, 0.461, 0.118)
F (0.197, 0.644, 0.013)
F (0.356, 0.803, 0.487)
F (0.408, 0.414, 0.528)
F (0.414, 0.408, 0.028)
F (0.461, 0.197, 0.618)
F (0.539, 0.803, 0.382)
F (0.586, 0.592, 0.972)
F (0.592, 0.586, 0.472)
F (0.644, 0.197, 0.513)
F (0.803, 0.356, 0.987)
F (0.803, 0.539, 0.882)



[4]
Structure and computed powder diffraction line list of HgCSO3F3 (the GGA-PBE geometry in the Materials Project; Cu Kα).

Most intense lines, 5° ≤ 2θ ≤ 70°, sorted by position:
- 8.0 deg, intensity 100
- 17.5 deg, intensity 9
- 21.4 deg, intensity 21
- 21.6 deg, intensity 20
- 22.6 deg, intensity 22
- 23.9 deg, intensity 9
- 24.1 deg, intensity 11
- 27.2 deg, intensity 11
- 38.8 deg, intensity 10
- 39.2 deg, intensity 9

Lattice parameters (Å, degrees): 5.337 5.356 11.305 97.06 98.51 94.86
Sites, in units of the cell vectors:
Hg (0.146, 0.174, 0.073)
Hg (0.854, 0.826, 0.927)
C (0.199, 0.327, 0.663)
C (0.801, 0.673, 0.337)
S (0.405, 0.363, 0.815)
S (0.595, 0.637, 0.185)
O (0.261, 0.497, 0.898)
O (0.364, 0.481, 0.207)
O (0.451, 0.107, 0.835)
O (0.549, 0.893, 0.165)
O (0.636, 0.519, 0.793)
O (0.739, 0.503, 0.102)
F (0.015, 0.826, 0.334)
F (0.134, 0.555, 0.638)
F (0.321, 0.223, 0.576)
F (0.679, 0.777, 0.424)
F (0.866, 0.445, 0.362)
F (0.985, 0.174, 0.666)



[5]
Structure and computed powder diffraction line list of Ho2CF2 (the GGA-PBE geometry in the Materials Project; Cu Kα).

Most intense lines, 5° ≤ 2θ ≤ 70°, sorted by position:
- 27.8 deg, intensity 27
- 28.3 deg, intensity 31
- 31.6 deg, intensity 100
- 40.1 deg, intensity 43
- 50.1 deg, intensity 30
- 51.6 deg, intensity 26
- 58.2 deg, intensity 21
- 60.4 deg, intensity 17
- 65.2 deg, intensity 12
- 66.0 deg, intensity 9

Lattice parameters (Å, degrees): 3.642 3.642 6.421 90.00 90.00 120.00
Sites, in units of the cell vectors:
Ho (0.333, 0.667, 0.290)
Ho (0.667, 0.333, 0.710)
C (0.000, 0.000, 0.500)
F (0.333, 0.667, 0.883)
F (0.667, 0.333, 0.117)